Entry 1:
For CeAl3Ag, a cell relaxed with PBE gives the computed X-ray diffraction stick pattern in this record (CuKα).

Structure:
```
data_CeAl3Ag
_chemical_formula_sum 'Ce2 Al6 Ag2'
_cell_length_a 4.357
_cell_length_b 4.357
_cell_length_c 10.979
_cell_angle_alpha 90.00
_cell_angle_beta 90.00
_cell_angle_gamma 90.00
_space_group_name_H-M_alt 'I 4 m m'
_space_group_IT_number 107
_space_group_name_Hall 'I 4 -2'
loop_
_atom_site_label
_atom_site_fract_x
_atom_site_fract_y
_atom_site_fract_z
Ce1 0.000 0.000 0.000
Al1 0.000 0.000 0.594
Al2 0.000 0.500 0.238
Ag1 0.000 0.000 0.367
```

Top 10 peaks for 10 to 80 degrees two-theta, in order of rising 2θ:
2θ = 16.15°, intensity 29; 2θ = 21.95°, intensity 28; 2θ = 28.98°, intensity 57; 2θ = 31.94°, intensity 100; 2θ = 33.35°, intensity 71; 2θ = 41.45°, intensity 47; 2θ = 46.30°, intensity 37; 2θ = 53.26°, intensity 46; 2θ = 63.87°, intensity 27; 2θ = 70.47°, intensity 16



Entry 2:
For CeAlAg2, a cell relaxed with PBE gives the computed X-ray diffraction stick pattern in this record (CuKα).

Structure:
```
data_CeAlAg2
_chemical_formula_sum 'Ce4 Al4 Ag8'
_cell_length_a 6.997
_cell_length_b 6.997
_cell_length_c 6.997
_cell_angle_alpha 90.00
_cell_angle_beta 90.00
_cell_angle_gamma 90.00
_space_group_name_H-M_alt 'F m -3 m'
_space_group_IT_number 225
_space_group_name_Hall '-F 4 2 3'
loop_
_atom_site_label
_atom_site_fract_x
_atom_site_fract_y
_atom_site_fract_z
Ce1 0.000 0.000 0.000
Al1 0.000 0.000 0.500
Ag1 0.250 0.250 0.250
```

Top 10 peaks for 10 to 80 degrees two-theta, in order of rising 2θ:
2θ = 22.00°, intensity 19; 2θ = 25.46°, intensity 3; 2θ = 36.31°, intensity 100; 2θ = 42.87°, intensity 10; 2θ = 52.30°, intensity 17; 2θ = 57.40°, intensity 4; 2θ = 59.04°, intensity 1; 2θ = 65.33°, intensity 34; 2θ = 69.85°, intensity 3; 2θ = 77.11°, intensity 11